Structure and theoretical powder diffraction line list of CdS4 (DFT lattice parameters and positions (GGA-PBE); CuKα).

Crystal structure
```
data_CdS4
_chemical_formula_sum 'Cd4 S16'
_symmetry_space_group_name_H-M 'P 1 21/c 1'
_symmetry_Int_Tables_number 14
_symmetry_space_group_name_Hall '-P 2ybc'
_cell_length_a 5.6339
_cell_length_b 10.6808
_cell_length_c 8.2482
_cell_angle_alpha 90.00
_cell_angle_beta 90.32
_cell_angle_gamma 90.00
loop_
_atom_site_label
_atom_site_type_symbol
_atom_site_fract_x
_atom_site_fract_y
_atom_site_fract_z
Cd1 Cd 0.1409 0.2295 0.4768
S1 S 0.1428 0.0668 0.1824
S2 S 0.2164 0.5580 0.2843
S3 S 0.2854 0.6421 0.0665
S4 S 0.3144 0.1312 0.7442
```

Main lines, by intensity (15 to 90 degrees two-theta):
27.31 deg, d = 3.265 Å, I = 100, (0 2 2)
17.80 deg, d = 4.983 Å, I = 71, (1 1 0)
15.73 deg, d = 5.634 Å, I = 43, (1 0 0)
31.75 deg, d = 2.818 Å, I = 42, (2 0 0)
36.92 deg, d = 2.435 Å, I = 29, (1 3 -2)
16.60 deg, d = 5.340 Å, I = 29, (0 2 0)
32.88 deg, d = 2.724 Å, I = 28, (2 1 0)
39.76 deg, d = 2.267 Å, I = 26, (2 1 2)
20.84 deg, d = 4.263 Å, I = 21, (1 1 1)
29.68 deg, d = 3.010 Å, I = 19, (1 3 0)
50.79 deg, d = 1.798 Å, I = 19, (1 5 -2)
39.55 deg, d = 2.278 Å, I = 16, (2 1 -2)

=====

Structure and theoretical powder diffraction line list of Zr9In14Co7 (DFT lattice parameters and positions (GGA-PBE); CuKα).

Crystal structure
```
data_Zr9In14Co7
_chemical_formula_sum 'Zr36 In56 Co28'
_symmetry_space_group_name_H-M 'F m -3 m'
_symmetry_Int_Tables_number 225
_symmetry_space_group_name_Hall '-F 4 2 3'
_cell_length_a 13.3456
_cell_length_b 13.3456
_cell_length_c 13.3456
_cell_angle_alpha 90.00
_cell_angle_beta 90.00
_cell_angle_gamma 90.00
loop_
_atom_site_label
_atom_site_type_symbol
_atom_site_fract_x
_atom_site_fract_y
_atom_site_fract_z
Zr1 Zr 0.0000 0.0000 0.0000
Zr2 Zr 0.1210 0.1210 0.3790
In1 In 0.0000 0.1709 0.1709
In2 In 0.2500 0.2500 0.2500
Co1 Co 0.0000 0.0000 0.2788
Co2 Co 0.0000 0.0000 0.5000
```

Main lines, by intensity (15 to 90 degrees two-theta):
34.93 deg, d = 2.568 Å, I = 100, (3 3 3)
39.97 deg, d = 2.256 Å, I = 43, (5 3 1)
38.15 deg, d = 2.359 Å, I = 35, (4 4 0)
58.70 deg, d = 1.573 Å, I = 30, (6 6 0)
32.88 deg, d = 2.724 Å, I = 29, (4 2 2)
40.56 deg, d = 2.224 Å, I = 26, (6 0 0)
68.94 deg, d = 1.362 Å, I = 24, (8 4 4)
45.06 deg, d = 2.012 Å, I = 18, (6 2 2)
29.94 deg, d = 2.984 Å, I = 13, (4 2 0)
63.51 deg, d = 1.465 Å, I = 12, (9 1 1)
70.17 deg, d = 1.341 Å, I = 12, (9 3 3)
60.04 deg, d = 1.541 Å, I = 11, (5 5 5)

=====

Structure and theoretical powder diffraction line list of LuPt2O4 (DFT lattice parameters and positions (GGA-PBE); CuKα).

Crystal structure
Unit cell a=9.1386 b=9.1386 c=9.1386 alpha=90.00 beta=90.00 gamma=90.00
Space group Fd-3m (No. 227, origin choice 2)
Inequivalent atoms, fractional coordinates:
Lu: 0.1250 0.1250 0.1250 [8 per cell]
Pt: 0.0000 0.0000 0.5000 [16 per cell]
O: 0.0096 0.0096 0.7404 [32 per cell]

Main lines, by intensity (15 to 90 degrees two-theta):
32.49 deg, d = 2.755 Å, I = 100, (3 1 1)
57.01 deg, d = 1.615 Å, I = 39, (4 4 0)
52.00 deg, d = 1.759 Å, I = 38, (5 1 1)
33.98 deg, d = 2.638 Å, I = 31, (2 2 2)
27.61 deg, d = 3.231 Å, I = 24, (2 2 0)
80.78 deg, d = 1.190 Å, I = 23, (5 5 3)
68.05 deg, d = 1.378 Å, I = 14, (6 2 2)
67.17 deg, d = 1.394 Å, I = 13, (5 3 3)
39.44 deg, d = 2.285 Å, I = 11, (4 0 0)
48.82 deg, d = 1.865 Å, I = 10, (4 2 2)
16.80 deg, d = 5.276 Å, I = 10, (1 1 1)
84.89 deg, d = 1.142 Å, I = 6, (8 0 0)

=====

Structure and theoretical powder diffraction line list of Dy2Ho2CI2BrCl2 (DFT lattice parameters and positions (GGA-PBE); CuKα).

Crystal structure
```
data_Dy2Ho2CI2BrCl2
_chemical_formula_sum 'Dy4 Ho4 C2 I4 Br2 Cl4'
_symmetry_space_group_name_H-M 'C 1 2/m 1'
_symmetry_Int_Tables_number 12
_symmetry_space_group_name_Hall '-C 2y'
_cell_length_a 17.8065
_cell_length_b 3.8423
_cell_length_c 8.1882
_cell_angle_alpha 90.00
_cell_angle_beta 101.14
_cell_angle_gamma 90.00
loop_
_atom_site_label
_atom_site_type_symbol
_atom_site_fract_x
_atom_site_fract_y
_atom_site_fract_z
Dy1 Dy 0.0033 0.0000 0.3012
Ho1 Ho 0.1360 0.5000 0.5602
C1 C 0.0000 0.5000 0.5000
I1 I 0.1695 0.0000 0.8477
Br1 Br 0.0000 0.5000 0.0000
Cl1 Cl 0.1664 0.0000 0.3434
```

Main lines, by intensity (15 to 90 degrees two-theta):
31.95 deg, d = 2.801 Å, I = 100, (1 1 -2)
31.11 deg, d = 2.875 Å, I = 42, (3 1 1)
30.71 deg, d = 2.912 Å, I = 42, (6 0 0)
44.29 deg, d = 2.045 Å, I = 36, (2 0 -4)
45.51 deg, d = 1.993 Å, I = 27, (7 1 -2)
34.70 deg, d = 2.585 Å, I = 25, (5 1 0)
28.86 deg, d = 3.094 Å, I = 25, (3 1 -1)
21.19 deg, d = 4.192 Å, I = 23, (4 0 -1)
36.96 deg, d = 2.432 Å, I = 21, (2 0 3)
47.32 deg, d = 1.921 Å, I = 19, (0 2 0)
35.78 deg, d = 2.509 Å, I = 16, (4 0 -3)
57.47 deg, d = 1.604 Å, I = 14, (6 2 0)

=====

Structure and theoretical powder diffraction line list of Na4Zn2PdPt (DFT lattice parameters and positions (GGA-PBE); CuKα).

Crystal structure
```
data_Na4Zn2PdPt
_chemical_formula_sum 'Na4 Zn2 Pd1 Pt1'
_symmetry_space_group_name_H-M 'P -4 m 2'
_symmetry_Int_Tables_number 115
_symmetry_space_group_name_Hall 'P -4 -2'
_cell_length_a 4.6927
_cell_length_b 4.6927
_cell_length_c 6.6372
_cell_angle_alpha 90.00
_cell_angle_beta 90.00
_cell_angle_gamma 90.00
loop_
_atom_site_label
_atom_site_type_symbol
_atom_site_fract_x
_atom_site_fract_y
_atom_site_fract_z
Na1 Na 0.0000 0.0000 0.0000
Na2 Na 0.0000 0.5000 0.2481
Na3 Na 0.5000 0.5000 0.5000
Zn1 Zn 0.0000 0.5000 0.7416
Pd1 Pd 0.5000 0.5000 0.0000
Pt1 Pt 0.0000 0.0000 0.5000
```

Main lines, by intensity (15 to 90 degrees two-theta):
38.36 deg, d = 2.346 Å, I = 100, (2 0 0)
23.21 deg, d = 3.832 Å, I = 60, (1 0 1)
69.37 deg, d = 1.355 Å, I = 33, (3 1 2)
45.32 deg, d = 2.001 Å, I = 31, (2 1 1)
55.37 deg, d = 1.659 Å, I = 17, (2 2 0)
60.84 deg, d = 1.523 Å, I = 13, (3 0 1)
26.87 deg, d = 3.318 Å, I = 11, (0 0 2)
86.82 deg, d = 1.122 Å, I = 10, (4 1 1)
82.16 deg, d = 1.173 Å, I = 10, (4 0 0)
74.25 deg, d = 1.277 Å, I = 10, (3 2 1)
62.59 deg, d = 1.484 Å, I = 4, (1 1 4)
18.91 deg, d = 4.693 Å, I = 4, (1 0 0)

=====

Structure and theoretical powder diffraction line list of Na4Zr2Si3O12 (DFT lattice parameters and positions (GGA-PBE); CuKα).

Crystal structure
```
data_Na4Zr2Si3O12
_chemical_formula_sum 'Na24 Zr12 Si18 O72'
_symmetry_space_group_name_H-M 'R -3 c'
_symmetry_Int_Tables_number 167
_symmetry_space_group_name_Hall '-R 3 2"c'
_cell_length_a 9.2260
_cell_length_b 9.2260
_cell_length_c 21.8980
_cell_angle_alpha 90.00
_cell_angle_beta 90.00
_cell_angle_gamma 120.00
loop_
_atom_site_label
_atom_site_type_symbol
_atom_site_fract_x
_atom_site_fract_y
_atom_site_fract_z
Na1 Na 0.0000 0.0000 0.0000
Na2 Na 0.0000 0.3651 0.2500
Zr1 Zr 0.0000 0.0000 0.1460
Si1 Si 0.0000 0.3001 0.7500
O1 O 0.0085 0.2005 0.6895
O2 O 0.0152 0.1816 0.4188
```

Main lines, by intensity (15 to 90 degrees two-theta):
31.25 deg, d = 2.862 Å, I = 100, (1 1 6)
19.66 deg, d = 4.516 Å, I = 84, (1 0 4)
33.65 deg, d = 2.663 Å, I = 73, (3 0 0)
19.24 deg, d = 4.613 Å, I = 69, (1 1 0)
46.58 deg, d = 1.950 Å, I = 38, (2 2 6)
27.64 deg, d = 3.227 Å, I = 32, (0 2 4)
58.68 deg, d = 1.573 Å, I = 31, (4 1 6)
44.68 deg, d = 2.028 Å, I = 23, (1 2 8)
33.90 deg, d = 2.644 Å, I = 22, (2 1 4)
52.48 deg, d = 1.744 Å, I = 22, (4 1 0)
22.80 deg, d = 3.900 Å, I = 20, (1 1 3)
51.55 deg, d = 1.773 Å, I = 19, (2 1 10)

=====

Structure and theoretical powder diffraction line list of Rb2AlReS6 (DFT lattice parameters and positions (GGA-PBE); CuKα).

Crystal structure
```
data_Rb2AlReS6
_chemical_formula_sum 'Rb4 Al2 Re2 S12'
_symmetry_space_group_name_H-M 'P -3 1 c'
_symmetry_Int_Tables_number 163
_symmetry_space_group_name_Hall '-P 3 2c'
_cell_length_a 6.4652
_cell_length_b 6.4652
_cell_length_c 14.3528
_cell_angle_alpha 90.00
_cell_angle_beta 90.00
_cell_angle_gamma 120.00
loop_
_atom_site_label
_atom_site_type_symbol
_atom_site_fract_x
_atom_site_fract_y
_atom_site_fract_z
Rb1 Rb 0.3333 0.6667 0.0686
Al1 Al 0.3333 0.6667 0.7500
Re1 Re 0.0000 0.0000 0.2500
S1 S 0.1476 0.3244 0.8543
```

Main lines, by intensity (15 to 90 degrees two-theta):
20.11 deg, d = 4.414 Å, I = 100, (1 0 2)
27.59 deg, d = 3.233 Å, I = 41, (1 1 0)
47.27 deg, d = 1.923 Å, I = 31, (1 1 6)
24.47 deg, d = 3.637 Å, I = 25, (1 0 3)
44.64 deg, d = 2.030 Å, I = 24, (3 -1 2)
15.83 deg, d = 5.599 Å, I = 24, (1 0 0)
37.45 deg, d = 2.402 Å, I = 22, (2 -1 4)
40.89 deg, d = 2.207 Å, I = 20, (2 0 4)
37.21 deg, d = 2.416 Å, I = 20, (2 0 3)
34.39 deg, d = 2.608 Å, I = 19, (2 0 2)
56.97 deg, d = 1.616 Å, I = 17, (2 2 0)
32.59 deg, d = 2.748 Å, I = 17, (2 0 1)

=====

Structure and theoretical powder diffraction line list of Gd3SiNi4 (DFT lattice parameters and positions (GGA-PBE); CuKα).

Crystal structure
```
data_Gd3SiNi4
_chemical_formula_sum 'Gd3 Si1 Ni4'
_symmetry_space_group_name_H-M 'P 1 m 1'
_symmetry_Int_Tables_number 6
_symmetry_space_group_name_Hall 'P -2y'
_cell_length_a 5.2080
_cell_length_b 4.1123
_cell_length_c 6.6506
_cell_angle_alpha 90.00
_cell_angle_beta 95.53
_cell_angle_gamma 90.00
loop_
_atom_site_label
_atom_site_type_symbol
_atom_site_fract_x
_atom_site_fract_y
_atom_site_fract_z
Gd1 Gd 0.0000 0.0000 0.0000
Gd2 Gd 0.1865 0.0000 0.4842
Gd3 Gd 0.6890 0.5000 0.6198
Si1 Si 0.4483 0.5000 0.1472
Ni1 Ni 0.2325 0.5000 0.8033
Ni2 Ni 0.4833 0.0000 0.9092
Ni3 Ni 0.6213 0.0000 0.2829
Ni4 Ni 0.9123 0.5000 0.2563
```

Main lines, by intensity (15 to 90 degrees two-theta):
34.79 deg, d = 2.578 Å, I = 100, (0 1 2)
37.78 deg, d = 2.381 Å, I = 74, (1 1 -2)
42.35 deg, d = 2.134 Å, I = 71, (2 1 -1)
31.61 deg, d = 2.831 Å, I = 69, (1 1 1)
44.04 deg, d = 2.056 Å, I = 68, (0 2 0)
27.69 deg, d = 3.222 Å, I = 49, (1 1 0)
40.21 deg, d = 2.242 Å, I = 48, (1 1 2)
35.97 deg, d = 2.497 Å, I = 48, (2 0 -1)
38.50 deg, d = 2.338 Å, I = 39, (2 0 1)
33.50 deg, d = 2.675 Å, I = 38, (1 0 2)
42.97 deg, d = 2.105 Å, I = 37, (1 0 -3)
25.50 deg, d = 3.493 Å, I = 30, (0 1 1)

=====

Structure and theoretical powder diffraction line list of SrAlGaPdAu (DFT lattice parameters and positions (GGA-PBE); CuKα).

Crystal structure
```
data_SrAlGaPdAu
_chemical_formula_sum 'Sr2 Al2 Ga2 Pd2 Au2'
_symmetry_space_group_name_H-M 'P 4/n m m'
_symmetry_Int_Tables_number 129
_cell_length_a 4.5494
_cell_length_b 4.5494
_cell_length_c 10.2700
_cell_angle_alpha 90.00
_cell_angle_beta 90.00
_cell_angle_gamma 90.00
loop_
_symmetry_equiv_pos_as_xyz
'x,y,z'
'-x,-y,-z'
'-y+1/2,x,z'
'y+1/2,-x,-z'
'-x+1/2,-y+1/2,z'
'x+1/2,y+1/2,-z'
'y,-x+1/2,z'
'-y,x+1/2,-z'
'x+1/2,-y,-z'
'-x+1/2,y,z'
'-y,-x,-z'
'y,x,z'
'-x,y+1/2,-z'
'x,-y+1/2,z'
'y+1/2,x+1/2,-z'
'-y+1/2,-x+1/2,z'
loop_
_atom_site_label
_atom_site_type_symbol
_atom_site_fract_x
_atom_site_fract_y
_atom_site_fract_z
Sr1 Sr 0.2500 0.2500 0.2463
Al1 Al 0.2500 0.2500 0.8933
Ga1 Ga 0.2500 0.7500 0.5000
Pd1 Pd 0.2500 0.7500 0.0000
Au1 Au 0.2500 0.2500 0.6416
```

Main lines, by intensity (15 to 90 degrees two-theta):
32.85 deg, d = 2.726 Å, I = 100, (1 1 2)
39.62 deg, d = 2.275 Å, I = 79, (2 0 0)
26.17 deg, d = 3.405 Å, I = 55, (1 0 2)
32.74 deg, d = 2.735 Å, I = 45, (1 0 3)
45.18 deg, d = 2.007 Å, I = 40, (1 1 4)
48.07 deg, d = 1.893 Å, I = 36, (2 0 3)
67.62 deg, d = 1.386 Å, I = 30, (3 1 2)
48.64 deg, d = 1.872 Å, I = 29, (1 0 5)
29.09 deg, d = 3.070 Å, I = 27, (1 1 1)
57.28 deg, d = 1.608 Å, I = 27, (2 2 0)
64.46 deg, d = 1.445 Å, I = 25, (2 1 5)
52.31 deg, d = 1.749 Å, I = 24, (2 1 3)

=====

Copy entry 8 word for word.
Structure and theoretical powder diffraction line list of Gd3SiNi4 (DFT lattice parameters and positions (GGA-PBE); CuKα).

Crystal structure
```
data_Gd3SiNi4
_chemical_formula_sum 'Gd3 Si1 Ni4'
_symmetry_space_group_name_H-M 'P 1 m 1'
_symmetry_Int_Tables_number 6
_symmetry_space_group_name_Hall 'P -2y'
_cell_length_a 5.2080
_cell_length_b 4.1123
_cell_length_c 6.6506
_cell_angle_alpha 90.00
_cell_angle_beta 95.53
_cell_angle_gamma 90.00
loop_
_atom_site_label
_atom_site_type_symbol
_atom_site_fract_x
_atom_site_fract_y
_atom_site_fract_z
Gd1 Gd 0.0000 0.0000 0.0000
Gd2 Gd 0.1865 0.0000 0.4842
Gd3 Gd 0.6890 0.5000 0.6198
Si1 Si 0.4483 0.5000 0.1472
Ni1 Ni 0.2325 0.5000 0.8033
Ni2 Ni 0.4833 0.0000 0.9092
Ni3 Ni 0.6213 0.0000 0.2829
Ni4 Ni 0.9123 0.5000 0.2563
```

Main lines, by intensity (15 to 90 degrees two-theta):
34.79 deg, d = 2.578 Å, I = 100, (0 1 2)
37.78 deg, d = 2.381 Å, I = 74, (1 1 -2)
42.35 deg, d = 2.134 Å, I = 71, (2 1 -1)
31.61 deg, d = 2.831 Å, I = 69, (1 1 1)
44.04 deg, d = 2.056 Å, I = 68, (0 2 0)
27.69 deg, d = 3.222 Å, I = 49, (1 1 0)
40.21 deg, d = 2.242 Å, I = 48, (1 1 2)
35.97 deg, d = 2.497 Å, I = 48, (2 0 -1)
38.50 deg, d = 2.338 Å, I = 39, (2 0 1)
33.50 deg, d = 2.675 Å, I = 38, (1 0 2)
42.97 deg, d = 2.105 Å, I = 37, (1 0 -3)
25.50 deg, d = 3.493 Å, I = 30, (0 1 1)